Entry 1:
Diffraction record for Ba2VFeO6. The X-ray powder pattern is theoretical, not measured: it uses a DFT-relaxed cell (GGA+U, Alexandria) and CuKα.
Kinematic intensities with the Lorentz-polarization factor, no thermal factor.

Structural model:
a = 5.6857 Å, b = 5.6857 Å, c = 5.6857 Å
α = 60.00°, β = 60.00°, γ = 60.00°
Atoms (fractional coordinates):
Ba 0.2500 0.2500 0.2500
Ba 0.7500 0.7500 0.7500
V 0.0000 0.0000 0.0000
Fe 0.5000 0.5000 0.5000
O 0.2408 0.2408 0.7592
O 0.2408 0.7592 0.2408
O 0.2408 0.7592 0.7592
O 0.7592 0.2408 0.2408
O 0.7592 0.2408 0.7592
O 0.7592 0.7592 0.2408

The 12 most intense peaks (2θ = 15–90°), in order of rising 2θ:
| 2theta | I (rel.) |
| --- | --- |
| 22.1 | 14 |
| 31.5 | 100 |
| 38.8 | 20 |
| 45.1 | 34 |
| 50.8 | 7 |
| 56.0 | 38 |
| 65.7 | 20 |
| 70.2 | 4 |
| 74.7 | 17 |
| 79.0 | 7 |
| 83.2 | 7 |
| 87.5 | 2 |

Entry 2:
Diffraction record for BaFeWO6. The X-ray powder pattern is theoretical, not measured: it uses a DFT-relaxed cell (GGA+U, Alexandria) and CuKα.
Kinematic intensities with the Lorentz-polarization factor, no thermal factor.

Structural model:
a = 5.2131 Å, b = 5.2131 Å, c = 5.7964 Å
α = 90.16°, β = 90.16°, γ = 120.20°
Atoms (fractional coordinates):
Ba 0.0000 0.0000 0.0000
Fe 0.6655 0.3345 0.5000
W 0.3345 0.6655 0.5000
O 0.3922 0.0046 0.3132
O 0.3928 0.3918 0.6905
O 0.6082 0.6072 0.3095
O 0.6098 0.0015 0.6895
O 0.9954 0.6078 0.6868
O 0.9985 0.3902 0.3105

The 12 most intense peaks (2θ = 15–90°), in order of rising 2θ:
| 2theta | I (rel.) |
| --- | --- |
| 15.3 | 23 |
| 19.7 | 18 |
| 25.0 | 100 |
| 25.1 | 50 |
| 30.9 | 17 |
| 34.4 | 30 |
| 34.5 | 15 |
| 43.0 | 20 |
| 46.8 | 31 |
| 47.0 | 15 |
| 51.4 | 12 |
| 56.2 | 17 |

Entry 3:
Diffraction record for BaYFe4O7. The X-ray powder pattern is theoretical, not measured: it uses a DFT-relaxed cell (GGA+U, Alexandria) and CuKα.
Kinematic intensities with the Lorentz-polarization factor, no thermal factor.

Structural model:
a = 6.5182 Å, b = 6.5182 Å, c = 10.5451 Å
α = 90.00°, β = 90.00°, γ = 120.00°
Atoms (fractional coordinates):
Ba 0.3333 0.6667 0.0000
Ba 0.6667 0.3333 0.5000
Y 0.3333 0.6667 0.3439
Y 0.6667 0.3333 0.8439
Fe 0.0000 0.0000 0.4147
Fe 0.0000 0.0000 0.9147
Fe 0.1719 0.3437 0.6615
Fe 0.1719 0.8281 0.6615
Fe 0.3437 0.1719 0.1615
Fe 0.6563 0.8281 0.6615
Fe 0.8281 0.1719 0.1615
Fe 0.8281 0.6563 0.1615
O 0.0000 0.0000 0.2314
O 0.0000 0.0000 0.7314
O 0.0264 0.5132 0.2028
O 0.1629 0.3257 0.4647
O 0.1629 0.8371 0.4647
O 0.3257 0.1629 0.9647
O 0.4868 0.5132 0.2028
O 0.4868 0.9736 0.2028
O 0.5132 0.0264 0.7028
O 0.5132 0.4868 0.7028
O 0.6743 0.8371 0.4647
O 0.8371 0.1629 0.9647
O 0.8371 0.6743 0.9647
O 0.9736 0.4868 0.7028

The 12 most intense peaks (2θ = 15–90°), in order of rising 2θ:
| 2theta | I (rel.) |
| --- | --- |
| 27.4 | 48 |
| 29.9 | 94 |
| 32.3 | 76 |
| 32.8 | 100 |
| 37.7 | 13 |
| 50.0 | 44 |
| 51.6 | 20 |
| 54.3 | 29 |
| 56.5 | 42 |
| 62.2 | 15 |
| 65.2 | 20 |
| 78.8 | 12 |

Entry 4:
Diffraction record for BaYbFe4O7. The X-ray powder pattern is theoretical, not measured: it uses a DFT-relaxed cell (GGA+U, Alexandria) and CuKα.
Kinematic intensities with the Lorentz-polarization factor, no thermal factor.

Structural model:
a = 6.3821 Å, b = 6.3916 Å, c = 6.4392 Å
α = 119.07°, β = 119.08°, γ = 90.82°
Atoms (fractional coordinates):
Ba 0.0000 0.0000 0.0000
Yb 0.2408 0.7742 0.5072
Fe 0.1009 0.4038 0.7246
Fe 0.5907 0.3812 0.2586
Fe 0.6323 0.3752 0.7610
Fe 0.6478 0.9028 0.2677
O 0.0141 0.0391 0.4464
O 0.4454 0.0166 0.0091
O 0.4491 0.4654 0.4873
O 0.4939 0.5030 0.0024
O 0.5830 0.0211 0.5900
O 0.9486 0.5650 0.5139
O 0.9905 0.5474 0.0019

The 12 most intense peaks (2θ = 15–90°), in order of rising 2θ:
| 2theta | I (rel.) |
| --- | --- |
| 16.8 | 36 |
| 27.4 | 63 |
| 27.6 | 32 |
| 27.7 | 31 |
| 27.9 | 60 |
| 32.1 | 45 |
| 32.2 | 57 |
| 32.6 | 100 |
| 32.9 | 51 |
| 33.0 | 47 |
| 52.2 | 41 |
| 56.6 | 34 |

Entry 5:
Diffraction record for BaZnFe4O8. The X-ray powder pattern is theoretical, not measured: it uses a DFT-relaxed cell (GGA+U, Alexandria) and CuKα.
Kinematic intensities with the Lorentz-polarization factor, no thermal factor.

Structural model:
a = 5.4377 Å, b = 5.4377 Å, c = 7.3456 Å
α = 90.00°, β = 90.00°, γ = 120.00°
Atoms (fractional coordinates):
Ba 0.0000 0.0000 0.0000
Zn 0.0000 0.0000 0.5000
Fe 0.3333 0.6667 0.2572
Fe 0.3333 0.6667 0.7428
Fe 0.6667 0.3333 0.2572
Fe 0.6667 0.3333 0.7428
O 0.0000 0.3173 0.3221
O 0.0000 0.6827 0.6779
O 0.3173 0.0000 0.3221
O 0.3173 0.3173 0.6779
O 0.3333 0.6667 0.0000
O 0.6667 0.3333 0.0000
O 0.6827 0.0000 0.6779
O 0.6827 0.6827 0.3221

The 12 most intense peaks (2θ = 15–90°), in order of rising 2θ:
| 2theta | I (rel.) |
| --- | --- |
| 18.8 | 9 |
| 30.9 | 100 |
| 32.9 | 84 |
| 35.2 | 13 |
| 45.8 | 35 |
| 49.6 | 9 |
| 57.5 | 34 |
| 58.8 | 24 |
| 60.9 | 33 |
| 77.6 | 13 |
| 80.5 | 12 |
| 89.8 | 11 |